Calculated X-ray powder pattern
Compound: Li4Ti5Cr3O16
Radiation: Cu Kα X-rays
Structure: a crystal structure in Alexandria, relaxed with GGA+U

Crystal structure
```
data_Li4Ti5Cr3O16
_chemical_formula_sum 'Li8 Ti10 Cr6 O32'
_cell_length_a 10.2834
_cell_length_b 5.9274
_cell_length_c 9.5663
_cell_angle_alpha 90.00
_cell_angle_beta 90.02
_cell_angle_gamma 90.00
_symmetry_space_group_name_H-M 'C 1 m 1'
_symmetry_Int_Tables_number 8
loop_
_symmetry_equiv_pos_as_xyz
'x,y,z'
'x,-y,z'
'x+1/2,y+1/2,z'
'x+1/2,-y+1/2,z'
loop_
_atom_site_label
_atom_site_type_symbol
_atom_site_fract_x
_atom_site_fract_y
_atom_site_fract_z
Li1 Li 0.0000 0.0000 0.0000
Li2 Li 0.0008 0.0000 0.5031
Li3 Li 0.1628 0.5000 0.6006
Li4 Li 0.3336 0.0000 0.0973
Ti1 Ti 0.0898 0.2541 0.2775
Ti2 Ti 0.1658 0.5000 0.9984
Ti3 Ti 0.1733 0.0000 0.7706
Ti4 Ti 0.3424 0.0000 0.5034
Cr1 Cr 0.3308 0.5000 0.2852
Cr2 Cr 0.4136 0.2449 0.7848
O1 O 0.9999 0.0000 0.1878
O2 O 0.0010 0.0000 0.6903
O3 O 0.0199 0.5000 0.1558
O4 O 0.0840 0.2526 0.9006
O5 O 0.1632 0.5000 0.3927
O6 O 0.1679 0.0000 0.3975
O7 O 0.2383 0.2781 0.1576
O8 O 0.2557 0.2204 0.6556
O9 O 0.3253 0.0000 0.8919
O10 O 0.3314 0.5000 0.9037
O11 O 0.4196 0.2478 0.4011
O12 O 0.4761 0.0000 0.6552
```

Top 10 peaks for 10° ≤ 2θ ≤ 80°, low angle first:
hkl 0 0 2, 18.55°, I = 65; hkl 2 0 -1, 19.61°, I = 100; hkl 1 1 2, 25.45°, I = 29; hkl 2 0 -3, 33.06°, I = 37; hkl 3 1 -2, 35.62°, I = 48; hkl 2 2 -1, 36.21°, I = 49; hkl 4 0 2, 39.83°, I = 47; hkl 2 2 3, 45.34°, I = 63; hkl 2 2 5, 60.32°, I = 45; hkl 0 4 0, 62.64°, I = 43